Entry 1:
Diffraction record for BaLiLaTeO6. The XRD peak list is theoretical, not measured: it uses a structure optimized by DFT (GGA-PBE) and CuKα.
Peak positions follow from Bragg's law for the DFT cell and can differ from measured ones.

Main lines, low angle first (2θ = 5–70°):
| 2theta | Rel. int. |
| --- | --- |
| 18.99 | 27 |
| 21.96 | 10 |
| 31.26 | 100 |
| 36.83 | 13 |
| 38.53 | 16 |
| 44.79 | 33 |
| 49.06 | 5 |
| 55.63 | 40 |
| 59.33 | 5 |
| 65.21 | 20 |

Structural model:
```
10
Lattice="0.0000 4.0469 4.0469 4.0469 0.0000 4.0469 4.0469 4.0469 0.0000" Properties=species:S:1:pos:R:3 pbc="T T T"
Ba 0.0000 0.0000 0.0000
Li 6.0703 6.0703 6.0703
La 4.0469 4.0469 4.0469
Te 2.0234 2.0234 2.0234
O 2.0234 2.0234 0.0805
O 2.0234 0.0805 2.0234
O 3.9664 2.0234 2.0234
O 0.0805 2.0234 2.0234
O 2.0234 3.9664 2.0234
O 2.0234 2.0234 3.9664
```

=====

Entry 2:
Diffraction record for Pm3Ti. The XRD peak list is theoretical, not measured: it uses a structure optimized by DFT (GGA-PBE) and CuKα.
Peak positions follow from Bragg's law for the DFT cell and can differ from measured ones.

Main lines, low angle first (2θ = 5–70°):
| 2theta | Rel. int. |
| --- | --- |
| 18.11 | 12 |
| 25.72 | 10 |
| 31.63 | 100 |
| 36.69 | 50 |
| 41.21 | 6 |
| 45.35 | 5 |
| 52.86 | 35 |
| 56.34 | 3 |
| 62.92 | 41 |
| 66.07 | 12 |

Structural model:
```
4
Lattice="4.8988 0.0000 0.0000 0.0000 4.8988 0.0000 0.0000 0.0000 4.8988" Properties=species:S:1:pos:R:3 pbc="T T T"
Pm 0.0000 0.0000 2.4494
Pm 0.0000 2.4494 0.0000
Pm 2.4494 0.0000 0.0000
Ti 2.4494 2.4494 2.4494
```

=====

Entry 3:
Diffraction record for Sm4Cu5P7. The XRD peak list is theoretical, not measured: it uses a structure optimized by DFT (GGA-PBE) and CuKα.
Peak positions follow from Bragg's law for the DFT cell and can differ from measured ones.

Main lines, low angle first (2θ = 5–70°):
| 2theta | Rel. int. |
| --- | --- |
| 25.19 | 65 |
| 29.76 | 11 |
| 36.21 | 38 |
| 36.49 | 20 |
| 38.25 | 100 |
| 48.04 | 30 |
| 52.35 | 14 |
| 55.00 | 15 |
| 61.61 | 16 |
| 61.80 | 16 |

Structural model:
```
16
Lattice="-2.6784 2.6784 9.8482 2.6784 -2.6784 9.8482 2.6784 2.6784 -9.8482" Properties=species:S:1:pos:R:3 pbc="T T T"
Sm 1.3874 -1.3874 7.5556
Sm 1.2910 1.2910 2.2926
Sm 1.2910 4.0659 -2.2927
Sm 1.3874 1.3874 12.1409
Cu 0.0000 0.0000 4.9151
Cu 2.6784 0.0000 4.9241
Cu 0.0000 0.0000 9.8482
Cu 0.0000 2.6784 4.9241
Cu 0.0000 0.0000 14.7814
P 0.0000 0.0000 0.0000
P 2.6784 0.0000 0.0000
P 1.3590 1.3590 -3.4510
P 1.3195 -1.3195 13.2992
P 0.0000 2.6784 0.0000
P 1.3195 1.3195 6.3973
P -1.3195 1.3195 13.2992
```